Structure and calculated XRD peak list of PuThPaGa (a PBE-relaxed structure; Cu Ka).

Most intense lines, 2θ = 10–90°, low angle first:
two_theta	d_spacing	I_rel
21.0	4.236	9.2
24.3	3.668	5.2
34.6	2.594	100.0
40.8	2.212	5.3
49.7	1.834	18.3
54.5	1.683	2.4
56.1	1.640	2.3
62.0	1.497	38.3
72.9	1.297	12.0
83.3	1.160	17.1

Cell and atoms:
abc: 5.187 5.187 5.187
angles: 60.00 60.00 60.00
Fractional positions:
Pu (0.000, 0.000, 0.000)
Th (0.500, 0.500, 0.500)
Pa (0.750, 0.750, 0.750)
Ga (0.250, 0.250, 0.250)